Structure and computed powder XRD pattern of Cs2ZnBi2S5 (the GGA-PBE geometry in OQMD; Cu Kα (weighted mean of Kα1 and Kα2)).
Neutral-atom scattering factors, no anomalous dispersion.

Crystal structure
```
data_Cs2ZnBi2S5
_chemical_formula_sum 'Cs8 Zn4 Bi8 S20'
_cell_length_a 15.9490
_cell_length_b 4.1403
_cell_length_c 18.3554
_cell_angle_alpha 90.00
_cell_angle_beta 90.00
_cell_angle_gamma 90.00
_symmetry_space_group_name_H-M 'P n m a'
_symmetry_Int_Tables_number 62
_symmetry_space_group_name_Hall '-P 2ac 2n'
loop_
_atom_site_label
_atom_site_type_symbol
_atom_site_fract_x
_atom_site_fract_y
_atom_site_fract_z
_atom_site_occupancy
Cs1 Cs 0.0065 0.2500 0.1220 1
Cs2 Cs 0.0394 0.7500 0.3811 1
Zn1 Zn 0.2054 0.2500 0.8555 1
Bi1 Bi 0.2078 0.7500 0.6983 1
Bi2 Bi 0.2495 0.7500 0.0167 1
S1 S 0.1073 0.2500 0.7573 1
S2 S 0.1330 0.7500 0.5620 1
S3 S 0.1415 0.2500 0.9714 1
S4 S 0.1818 0.7500 0.1486 1
S5 S 0.2146 0.2500 0.3443 1
```

Top 6 peaks for 2θ = 15–90°, in order of falling intensity:
2theta, intensity, index
22.33, 100, 4 0 0
29.02, 85, 3 1 2
26.59, 66, 1 1 3
27.74, 33, 3 1 1
38.55, 29, 5 1 3
36.98, 29, 1 1 6


Structure and computed powder XRD pattern of Cu9Bi (the GGA-PBE geometry in OQMD; Cu Kα (weighted mean of Kα1 and Kα2)).
Neutral-atom scattering factors, no anomalous dispersion.

Crystal structure
```
data_Cu9Bi
_chemical_formula_sum 'Cu18 Bi2'
_cell_length_a 2.7935
_cell_length_b 3.3761
_cell_length_c 38.4040
_cell_angle_alpha 90.00
_cell_angle_beta 90.00
_cell_angle_gamma 90.00
_symmetry_space_group_name_H-M 'P m m n'
_symmetry_Int_Tables_number 59
loop_
_symmetry_equiv_pos_as_xyz
'x,y,z'
'-x,-y,-z'
'-x+1/2,-y+1/2,z'
'x+1/2,y+1/2,-z'
'x+1/2,-y,-z'
'-x+1/2,y,z'
'-x,y+1/2,-z'
'x,-y+1/2,z'
loop_
_atom_site_label
_atom_site_type_symbol
_atom_site_fract_x
_atom_site_fract_y
_atom_site_fract_z
_atom_site_occupancy
Cu1 Cu 0.2500 0.2500 0.0166 1
Cu2 Cu 0.2500 0.2500 0.0828 1
Cu3 Cu 0.2500 0.2500 0.1490 1
Cu4 Cu 0.2500 0.2500 0.2156 1
Cu5 Cu 0.2500 0.2500 0.2822 1
Cu6 Cu 0.2500 0.2500 0.7509 1
Cu7 Cu 0.2500 0.2500 0.8179 1
Cu8 Cu 0.2500 0.2500 0.8843 1
Cu9 Cu 0.2500 0.2500 0.9504 1
Bi1 Bi 0.2500 0.2500 0.6670 1
```

Top 6 peaks for 2θ = 15–90°, in order of falling intensity:
2theta, intensity, index
41.99, 100, 1 1 0
44.41, 47, 0 1 15
48.21, 33, 1 0 15
42.45, 29, 0 1 14
54.35, 23, 0 2 0
46.39, 22, 1 0 14


Structure and computed powder XRD pattern of Cu9Bi (the GGA-PBE geometry in OQMD; Cu Kα (weighted mean of Kα1 and Kα2)).
Neutral-atom scattering factors, no anomalous dispersion.

Crystal structure
```
data_Cu9Bi
_chemical_formula_sum 'Cu18 Bi2'
_cell_length_a 2.8349
_cell_length_b 2.8349
_cell_length_c 41.4485
_cell_angle_alpha 90.00
_cell_angle_beta 90.00
_cell_angle_gamma 90.00
_symmetry_space_group_name_H-M 'P 4/n m m'
_symmetry_Int_Tables_number 129
loop_
_symmetry_equiv_pos_as_xyz
'x,y,z'
'-x,-y,-z'
'-y+1/2,x,z'
'y+1/2,-x,-z'
'-x+1/2,-y+1/2,z'
'x+1/2,y+1/2,-z'
'y,-x+1/2,z'
'-y,x+1/2,-z'
'x+1/2,-y,-z'
'-x+1/2,y,z'
'-y,-x,-z'
'y,x,z'
'-x,y+1/2,-z'
'x,-y+1/2,z'
'y+1/2,x+1/2,-z'
'-y+1/2,-x+1/2,z'
loop_
_atom_site_label
_atom_site_type_symbol
_atom_site_fract_x
_atom_site_fract_y
_atom_site_fract_z
_atom_site_occupancy
Cu1 Cu 0.2500 0.2500 0.0180 1
Cu2 Cu 0.2500 0.2500 0.0898 1
Cu3 Cu 0.2500 0.2500 0.1617 1
Cu4 Cu 0.2500 0.2500 0.2339 1
Cu5 Cu 0.2500 0.2500 0.3065 1
Cu6 Cu 0.2500 0.2500 0.7303 1
Cu7 Cu 0.2500 0.2500 0.8022 1
Cu8 Cu 0.2500 0.2500 0.8742 1
Cu9 Cu 0.2500 0.2500 0.9461 1
Bi1 Bi 0.2500 0.2500 0.6385 1
```

Top 6 peaks for 2θ = 15–90°, in order of falling intensity:
2theta, intensity, index
45.24, 100, 1 1 0
42.68, 92, 1 0 13
44.23, 85, 1 0 14
41.20, 30, 1 0 12
65.90, 30, 2 0 0
37.25, 28, 1 0 9


Structure and computed powder XRD pattern of Cu15Bi (the GGA-PBE geometry in OQMD; Cu Kα (weighted mean of Kα1 and Kα2)).
Neutral-atom scattering factors, no anomalous dispersion.

Crystal structure
```
data_Cu15Bi
_chemical_formula_sum 'Cu30 Bi2'
_cell_length_a 4.4073
_cell_length_b 34.1600
_cell_length_c 4.4089
_cell_angle_alpha 90.00
_cell_angle_beta 108.85
_cell_angle_gamma 90.00
_symmetry_space_group_name_H-M 'P 1 2/c 1'
_symmetry_Int_Tables_number 13
_symmetry_space_group_name_Hall '-P 2yc'
loop_
_atom_site_label
_atom_site_type_symbol
_atom_site_fract_x
_atom_site_fract_y
_atom_site_fract_z
_atom_site_occupancy
Cu1 Cu 0.0000 0.0184 0.2500 1
Cu2 Cu 0.0000 0.0559 0.7500 1
Cu3 Cu 0.0000 0.0926 0.2500 1
Cu4 Cu 0.0000 0.1299 0.7500 1
Cu5 Cu 0.0000 0.1672 0.2500 1
Cu6 Cu 0.0000 0.2038 0.7500 1
Cu7 Cu 0.0000 0.2426 0.2500 1
Cu8 Cu 0.0000 0.2779 0.7500 1
Cu9 Cu 0.5000 0.0187 0.7500 1
Cu10 Cu 0.5000 0.0556 0.2500 1
Cu11 Cu 0.5000 0.0928 0.7500 1
Cu12 Cu 0.5000 0.1303 0.2500 1
Cu13 Cu 0.5000 0.1674 0.7500 1
Cu14 Cu 0.5000 0.2053 0.2500 1
Cu15 Cu 0.5000 0.2426 0.7500 1
Bi1 Bi 0.5000 0.2960 0.2500 1
```

Top 6 peaks for 2θ = 15–90°, in order of falling intensity:
2theta, intensity, index
43.39, 100, 2 0 0
42.66, 70, 1 13 -1
49.68, 44, 1 13 1
73.91, 36, 2 0 2
50.96, 35, 2 0 -2
44.94, 25, 1 14 -1


Structure and computed powder XRD pattern of Cu9Bi2 (the GGA-PBE geometry in OQMD; Cu Kα (weighted mean of Kα1 and Kα2)).
Neutral-atom scattering factors, no anomalous dispersion.

Crystal structure
```
data_Cu9Bi2
_chemical_formula_sum 'Cu9 Bi2'
_cell_length_a 2.9368
_cell_length_b 2.9368
_cell_length_c 25.3798
_cell_angle_alpha 90.00
_cell_angle_beta 90.00
_cell_angle_gamma 120.00
_symmetry_space_group_name_H-M 'P -3 m 1'
_symmetry_Int_Tables_number 164
_symmetry_space_group_name_Hall '-P 3 2"'
loop_
_atom_site_label
_atom_site_type_symbol
_atom_site_fract_x
_atom_site_fract_y
_atom_site_fract_z
_atom_site_occupancy
Cu1 Cu 0.0000 0.0000 0.0000 1
Cu2 Cu 0.0000 0.0000 0.2173 1
Cu3 Cu 0.3333 0.6667 0.1446 1
Cu4 Cu 0.3333 0.6667 0.7099 1
Cu5 Cu 0.3333 0.6667 0.9276 1
Bi1 Bi 0.3333 0.6667 0.3845 1
```

Top 6 peaks for 2θ = 15–90°, in order of falling intensity:
2theta, intensity, index
38.12, 100, 1 0 4
48.18, 70, 0 1 9
39.64, 57, 1 0 5
36.90, 42, 1 0 3
63.34, 39, 1 1 0
17.47, 36, 0 0 5


Structure and computed powder XRD pattern of Cu15Bi (the GGA-PBE geometry in OQMD; Cu Kα (weighted mean of Kα1 and Kα2)).
Neutral-atom scattering factors, no anomalous dispersion.

Crystal structure
```
data_Cu15Bi
_chemical_formula_sum 'Cu30 Bi2'
_cell_length_a 3.6048
_cell_length_b 3.6073
_cell_length_c 42.1137
_cell_angle_alpha 90.00
_cell_angle_beta 90.00
_cell_angle_gamma 90.00
_symmetry_space_group_name_H-M 'P m m a'
_symmetry_Int_Tables_number 51
_symmetry_space_group_name_Hall '-P 2a 2a'
loop_
_atom_site_label
_atom_site_type_symbol
_atom_site_fract_x
_atom_site_fract_y
_atom_site_fract_z
_atom_site_occupancy
Cu1 Cu 0.2500 0.0000 0.0214 1
Cu2 Cu 0.2500 0.0000 0.1069 1
Cu3 Cu 0.2500 0.0000 0.1916 1
Cu4 Cu 0.2500 0.0000 0.2768 1
Cu5 Cu 0.2500 0.0000 0.6828 1
Cu6 Cu 0.2500 0.0000 0.7655 1
Cu7 Cu 0.2500 0.0000 0.8508 1
Cu8 Cu 0.2500 0.0000 0.9356 1
Cu9 Cu 0.2500 0.5000 0.0642 1
Cu10 Cu 0.2500 0.5000 0.1490 1
Cu11 Cu 0.2500 0.5000 0.2341 1
Cu12 Cu 0.2500 0.5000 0.7232 1
Cu13 Cu 0.2500 0.5000 0.8084 1
Cu14 Cu 0.2500 0.5000 0.8931 1
Cu15 Cu 0.2500 0.5000 0.9785 1
Bi1 Bi 0.2500 0.5000 0.3427 1
```

Top 6 peaks for 2θ = 15–90°, in order of falling intensity:
2theta, intensity, index
42.60, 100, 1 1 11
43.89, 80, 1 1 12
50.63, 63, 2 0 0
74.41, 16, 2 2 0
39.26, 16, 1 1 8
75.63, 15, 2 0 24


Structure and computed powder XRD pattern of Cu17Bi (the GGA-PBE geometry in OQMD; Cu Kα (weighted mean of Kα1 and Kα2)).
Neutral-atom scattering factors, no anomalous dispersion.

Crystal structure
```
data_Cu17Bi
_chemical_formula_sum 'Cu34 Bi2'
_cell_length_a 4.4013
_cell_length_b 5.0868
_cell_length_c 29.2785
_cell_angle_alpha 90.00
_cell_angle_beta 90.14
_cell_angle_gamma 90.00
_symmetry_space_group_name_H-M 'P 1 21/m 1'
_symmetry_Int_Tables_number 11
_symmetry_space_group_name_Hall '-P 2yb'
loop_
_atom_site_label
_atom_site_type_symbol
_atom_site_fract_x
_atom_site_fract_y
_atom_site_fract_z
_atom_site_occupancy
Cu1 Cu 0.0000 0.0000 0.0000 1
Cu2 Cu 0.0058 0.0039 0.2138 1
Cu3 Cu 0.1578 0.7500 0.2833 1
Cu4 Cu 0.1613 0.2500 0.8574 1
Cu5 Cu 0.1635 0.7500 0.8576 1
Cu6 Cu 0.1663 0.2500 0.0711 1
Cu7 Cu 0.1672 0.7500 0.0708 1
Cu8 Cu 0.3326 0.0007 0.9288 1
Cu9 Cu 0.3355 0.0000 0.1419 1
Cu10 Cu 0.3432 0.0020 0.7174 1
Cu11 Cu 0.4961 0.2500 0.7878 1
Cu12 Cu 0.4994 0.7500 0.7876 1
Cu13 Cu 0.5000 0.2500 0.0003 1
Bi1 Bi 0.1558 0.2500 0.3196 1
```

Top 6 peaks for 2θ = 15–90°, in order of falling intensity:
2theta, intensity, index
43.94, 100, 1 2 5
42.90, 95, 2 0 -4
49.99, 44, 1 2 -9
43.27, 27, 0 0 14
50.10, 22, 2 0 9
74.69, 21, 3 2 0